Theoretical powder XRD pattern of FeAs2O4 for λ = 1.5418 Å (Cu Kα), from a crystal structure in Alexandria, relaxed with GGA+U.
Lines closer than 0.1° are merged.

Principal peaks in the range 2θ = 10–90°, by angle:
(1 1 0), 14.5 deg, rel. 37.8
(2 0 0), 20.6 deg, rel. 20.9
(2 1 1), 27.8 deg, rel. 100.0
(2 2 0), 29.3 deg, rel. 39.7
(3 1 0), 32.8 deg, rel. 24.7
(1 1 2), 34.3 deg, rel. 14.6
(2 0 2), 37.4 deg, rel. 39.2
(4 1 1), 46.1 deg, rel. 47.5
(2 1 3), 53.0 deg, rel. 16.3
(3 3 2), 55.2 deg, rel. 29.2
(5 1 2), 63.7 deg, rel. 14.5
(4 1 3), 65.8 deg, rel. 17.4

Atomic structure:
```
data_FeAs2O4
_cell_length_a 8.6314
_cell_length_b 8.6314
_cell_length_c 5.7947
_cell_angle_alpha 90.00
_cell_angle_beta 90.00
_cell_angle_gamma 90.00
_space_group_name_H-M_alt 'P 42/m b c'
_space_group_IT_number 135
_space_group_name_Hall '-P 4c 2ab'
loop_
_atom_site_label
_atom_site_fract_x
_atom_site_fract_y
_atom_site_fract_z
Fe1 0.0000 0.5000 0.2500
As1 0.1742 0.1897 0.0000
O1 0.1088 0.3620 0.5000
O2 0.1850 0.6850 0.2500
```